H12W3C4NCl9: computed PXRD pattern (λ = 1.5418 Å (Cu Kα)), based on DFT lattice parameters and positions (GGA-PBE).

Top 8 peaks for 5 to 70 degrees two-theta, sorted by position:
hkl 1 0 0, d = 9.630 Å, intensity 1000
hkl 0 0 1, d = 8.777 Å, intensity 216
hkl 1 0 1, d = 6.487 Å, intensity 310
hkl 2 0 1, d = 4.221 Å, intensity 74
hkl 1 0 3, d = 2.801 Å, intensity 83
hkl 3 0 2, d = 2.591 Å, intensity 159
hkl 3 1 2, d = 2.281 Å, intensity 135
hkl 4 0 2, d = 2.111 Å, intensity 78

```
H12W3C4NCl9
1.0
11.1194 0.0000 0.0000
-5.5597 9.6296 0.0000
0.0000 0.0000 8.7773
H W C N Cl
24 6 8 2 18
Direct
0.1335 0.4859 0.3209
0.1335 0.6476 0.3209
0.1885 0.5942 0.4875
0.2795 0.5590 0.0932
0.2795 0.7205 0.0932
0.3524 0.4859 0.3209
0.3524 0.8665 0.3209
0.4058 0.5942 0.4875
0.4058 0.8115 0.4875
0.4410 0.7205 0.0932
0.4859 0.1335 0.6791
0.4859 0.3524 0.6791
0.5141 0.6476 0.3209
0.5141 0.8665 0.3209
0.5590 0.2795 0.9068
0.5942 0.1885 0.5125
0.5942 0.4058 0.5125
0.6476 0.1335 0.6791
0.6476 0.5141 0.6791
0.7205 0.2795 0.9068
0.7205 0.4410 0.9068
0.8115 0.4058 0.5125
0.8665 0.3524 0.6791
0.8665 0.5141 0.6791
0.0886 0.1773 0.8689
0.0886 0.9114 0.8689
0.1773 0.0886 0.1311
0.8227 0.9114 0.8689
0.9114 0.0886 0.1311
0.9114 0.8227 0.1311
0.1862 0.5931 0.3627
0.3333 0.6667 0.1335
0.4069 0.5931 0.3627
0.4069 0.8138 0.3627
0.5931 0.1862 0.6373
0.5931 0.4069 0.6373
0.6667 0.3333 0.8665
0.8138 0.4069 0.6373
0.3333 0.6667 0.3050
0.6667 0.3333 0.6950
0.0000 0.3091 0.0000
0.0000 0.6909 0.0000
0.1008 0.2016 0.3082
0.1008 0.8992 0.3082
0.1922 0.3843 0.7055
0.1922 0.8078 0.7055
0.2016 0.1008 0.6918
0.3091 0.0000 0.0000
0.3091 0.3091 0.0000
0.3843 0.1922 0.2945
0.6157 0.8078 0.7055
0.6909 0.0000 0.0000
0.6909 0.6909 0.0000
0.7984 0.8992 0.3082
0.8078 0.1922 0.2945
0.8078 0.6157 0.2945
0.8992 0.1008 0.6918
0.8992 0.7984 0.6918
```